TbPm2Nd2Tm: computed XRD peak list (Cu Kα), based on a PBE-relaxed structure.
Peak positions follow from Bragg's law for the DFT cell and can differ from measured ones.

Structural model:
```
TbPm2Nd2Tm
1.0
7.073 0.000 0.000
0.000 5.710 0.000
0.000 0.000 9.888
Tb Pm Nd Tm
2 4 4 2
Cartesian
1.768 0.000 1.554
5.305 0.000 8.334
1.768 0.000 8.212
1.768 2.855 3.334
5.305 0.000 1.676
5.305 2.855 6.554
0.000 0.000 4.944
1.768 2.855 6.704
3.537 0.000 4.944
5.305 2.855 3.184
0.000 2.855 0.000
3.537 2.855 0.000
```

Main lines, in order of rising 2θ (10° ≤ 2θ ≤ 90°):
2θ (°), I/Imax
31.1, 93
31.3, 100
44.7, 34
55.6, 36
55.8, 19
61.7, 29
65.4, 12
74.2, 15
79.5, 14
87.9, 11



TbPmNdTm: computed XRD peak list (Cu Kα), based on a PBE-relaxed structure.
Peak positions follow from Bragg's law for the DFT cell and can differ from measured ones.

Structural model:
```
TbPmNdTm
1.0
3.612 0.000 0.000
-1.806 3.128 0.000
0.000 0.000 11.614
Tb Pm Nd Tm
1 1 1 1
Cartesian
0.000 0.000 0.000
0.000 2.085 5.702
1.806 1.043 8.698
1.806 1.043 2.818
```

Main lines, in order of rising 2θ (10° ≤ 2θ ≤ 90°):
2θ (°), I/Imax
29.6, 41
30.8, 34
32.5, 100
36.9, 23
50.5, 26
55.9, 21
60.4, 30
61.4, 16
83.4, 14
85.9, 15



Tb2PmNd2Tm: computed XRD peak list (Cu Kα), based on a PBE-relaxed structure.
Peak positions follow from Bragg's law for the DFT cell and can differ from measured ones.

Structural model:
```
Tb2PmNd2Tm
1.0
7.019 0.000 0.000
0.000 5.696 0.000
0.000 0.000 9.895
Tb Pm Nd Tm
4 2 4 2
Cartesian
1.755 0.000 1.628
1.755 2.848 6.609
5.264 0.000 8.266
5.264 2.848 3.286
0.000 0.000 4.947
3.509 0.000 4.947
0.000 2.848 0.000
1.755 0.000 8.205
3.509 2.848 0.000
5.264 0.000 1.690
1.755 2.848 3.329
5.264 2.848 6.566
```

Main lines, in order of rising 2θ (10° ≤ 2θ ≤ 90°):
2θ (°), I/Imax
31.3, 100
31.4, 22
40.8, 9
44.9, 21
55.7, 19
55.9, 16
62.1, 18
65.4, 5
74.4, 6
79.9, 6



TbPmNd2Tm: computed XRD peak list (Cu Kα), based on a PBE-relaxed structure.
Peak positions follow from Bragg's law for the DFT cell and can differ from measured ones.

Structural model:
```
TbPmNd2Tm
1.0
8.256 0.000 0.000
0.000 6.721 0.000
-0.025 0.000 6.198
Tb Pm Nd Tm
2 2 4 2
Cartesian
-0.006 0.515 1.549
-0.019 6.207 4.648
0.000 3.361 0.000
-0.013 3.361 3.099
2.511 1.295 4.640
2.524 5.427 1.541
5.706 1.295 4.656
5.719 5.427 1.558
4.121 2.308 1.549
4.109 4.413 4.648
```

Main lines, in order of rising 2θ (10° ≤ 2θ ≤ 90°):
2θ (°), I/Imax
21.5, 19
28.7, 43
28.8, 32
29.2, 100
31.8, 20
32.2, 55
33.6, 47
34.4, 21
46.0, 19
46.2, 18



TbPm2Nd2Y2: computed XRD peak list (Cu Kα), based on a PBE-relaxed structure.
Peak positions follow from Bragg's law for the DFT cell and can differ from measured ones.

Structural model:
```
TbPm2Nd2Y2
1.0
2.888 1.667 8.210
-2.888 1.667 8.210
0.000 -3.334 8.210
Tb Pm Nd Y
1 2 2 2
Cartesian
0.000 0.000 0.000
0.000 0.000 6.940
0.000 0.000 17.690
0.000 0.000 3.425
0.000 0.000 21.205
0.000 0.000 10.517
0.000 0.000 14.114
```

Main lines, in order of rising 2θ (10° ≤ 2θ ≤ 90°):
2θ (°), I/Imax
31.0, 100
31.1, 97
44.4, 36
55.1, 20
55.2, 38
55.4, 18
64.5, 12
73.4, 16
73.5, 15
89.9, 20



TbPmNd2Y: computed XRD peak list (Cu Kα), based on a PBE-relaxed structure.
Peak positions follow from Bragg's law for the DFT cell and can differ from measured ones.

Structural model:
```
TbPmNd2Y
1.0
6.237 0.000 0.000
0.000 8.180 0.000
0.000 0.000 6.819
Tb Pm Nd Y
2 2 4 2
Cartesian
1.559 0.000 0.560
4.678 0.000 6.259
0.000 0.000 3.410
3.119 0.000 3.410
1.559 2.483 5.510
1.559 5.696 5.510
4.678 2.483 1.309
4.678 5.696 1.309
1.559 4.090 2.335
4.678 4.090 4.484
```

Main lines, in order of rising 2θ (10° ≤ 2θ ≤ 90°):
2θ (°), I/Imax
28.4, 46
28.6, 30
29.2, 100
31.5, 35
31.8, 48
32.8, 29
33.4, 47
34.2, 32
46.2, 38
54.8, 25



PmNd2Tc9: computed XRD peak list (Cu Kα), based on a PBE-relaxed structure.
Peak positions follow from Bragg's law for the DFT cell and can differ from measured ones.

Structural model:
```
PmNd2Tc9
1.0
4.927 -2.634 0.000
4.927 2.634 0.000
-3.762 0.000 8.676
Pm Nd Tc
1 2 9
Cartesian
0.000 0.000 0.000
-0.211 0.000 3.712
6.302 0.000 4.964
2.298 1.352 2.185
3.055 0.000 0.109
3.793 1.352 6.491
1.282 0.000 6.718
3.045 0.000 4.338
4.809 0.000 1.958
2.298 -1.352 2.185
3.036 0.000 8.567
3.793 -1.352 6.491
```

Main lines, in order of rising 2θ (10° ≤ 2θ ≤ 90°):
2θ (°), I/Imax
31.2, 46
32.2, 67
33.2, 74
36.9, 71
37.6, 100
38.8, 51
39.3, 93
40.1, 94
41.6, 53
67.3, 45



PmNd4Te4: computed XRD peak list (Cu Kα), based on a PBE-relaxed structure.
Peak positions follow from Bragg's law for the DFT cell and can differ from measured ones.

Structural model:
```
PmNd4Te4
1.0
-4.035 4.035 5.087
4.035 -4.035 5.087
4.035 4.035 -5.087
Pm Nd Te
1 4 4
Cartesian
0.000 0.000 0.000
4.035 0.000 0.000
0.000 0.000 3.335
0.000 4.035 0.000
0.000 0.000 6.839
1.875 1.875 -1.427
2.160 -2.160 6.514
2.160 2.160 3.661
-2.160 2.160 6.514
```

Main lines, in order of rising 2θ (10° ≤ 2θ ≤ 90°):
2θ (°), I/Imax
23.4, 95
28.2, 25
28.5, 27
31.4, 100
36.3, 44
39.5, 44
42.0, 38
44.9, 35
63.2, 20
63.9, 30



PmNd5Te6: computed XRD peak list (Cu Kα), based on a PBE-relaxed structure.
Peak positions follow from Bragg's law for the DFT cell and can differ from measured ones.

Structural model:
```
PmNd5Te6
1.0
3.889 -6.764 0.000
3.889 6.764 0.000
-2.611 0.000 7.313
Pm Nd Te
1 5 6
Cartesian
0.000 0.000 0.000
2.583 4.487 3.657
3.889 2.255 0.000
2.583 0.000 3.657
3.889 -2.255 0.000
2.583 -4.487 3.657
1.284 2.242 1.818
-0.029 0.000 5.483
1.284 -2.242 1.818
3.882 2.242 5.495
5.195 0.000 1.830
3.882 -2.242 5.495
```

Main lines, in order of rising 2θ (10° ≤ 2θ ≤ 90°):
2θ (°), I/Imax
28.1, 100
40.0, 13
40.1, 51
40.3, 13
49.6, 14
49.8, 14
58.1, 13
65.7, 24
72.7, 9
73.1, 11



Pm3Nd6Th2: computed XRD peak list (Cu Kα), based on a PBE-relaxed structure.
Peak positions follow from Bragg's law for the DFT cell and can differ from measured ones.

Structural model:
```
Pm3Nd6Th2
1.0
1.824 1.053 32.902
-1.824 1.053 32.902
0.000 -2.106 32.902
Pm Nd Th
3 6 2
Cartesian
0.000 0.000 0.000
0.000 0.000 26.919
0.000 0.000 71.787
0.000 0.000 9.081
0.000 0.000 18.057
0.000 0.000 35.910
0.000 0.000 62.796
0.000 0.000 80.648
0.000 0.000 89.625
0.000 0.000 44.878
0.000 0.000 53.827
```

Main lines, in order of rising 2θ (10° ≤ 2θ ≤ 90°):
2θ (°), I/Imax
29.9, 33
30.0, 100
34.7, 68
49.9, 24
50.0, 25
59.2, 14
59.4, 43
62.3, 13
81.3, 12
83.8, 11



Pm4Nd5Th2: computed XRD peak list (Cu Kα), based on a PBE-relaxed structure.
Peak positions follow from Bragg's law for the DFT cell and can differ from measured ones.

Structural model:
```
Pm4Nd5Th2
1.0
9.058 0.000 0.000
0.000 3.526 0.000
-0.879 0.000 11.998
Pm Nd Th
4 5 2
Cartesian
1.064 0.000 4.736
1.913 0.000 11.430
6.266 0.000 0.568
7.115 0.000 7.262
1.182 1.763 8.027
3.610 1.763 2.555
4.090 1.763 5.999
4.569 1.763 9.443
6.997 1.763 3.971
0.287 1.763 1.558
7.892 1.763 10.440
```

Main lines, in order of rising 2θ (10° ≤ 2θ ≤ 90°):
2θ (°), I/Imax
28.4, 23
29.4, 19
30.1, 68
30.7, 100
30.9, 65
31.4, 26
32.2, 27
33.4, 26
35.0, 19
51.9, 23



Pm3Nd3Th: computed XRD peak list (Cu Kα), based on a PBE-relaxed structure.
Peak positions follow from Bragg's law for the DFT cell and can differ from measured ones.

Structural model:
```
Pm3Nd3Th
1.0
4.458 2.574 7.224
-4.458 2.574 7.224
0.000 -5.148 7.224
Pm Nd Th
6 6 2
Cartesian
-1.052 -3.249 8.437
-3.340 -0.713 13.235
-2.287 2.536 8.437
2.287 -2.536 13.235
3.340 0.713 8.437
1.052 3.249 13.235
-2.937 -0.852 9.739
-0.731 -2.970 11.934
-2.207 2.118 11.934
2.207 -2.118 9.739
0.731 2.970 9.739
2.937 0.852 11.934
0.000 0.000 7.633
0.000 0.000 14.039
```

Main lines, in order of rising 2θ (10° ≤ 2θ ≤ 90°):
2θ (°), I/Imax
23.4, 41
28.4, 44
30.9, 99
31.1, 37
31.8, 44
31.9, 100
34.9, 44
37.1, 37
54.5, 27
56.1, 30



Pm3Nd4Th2: computed XRD peak list (Cu Kα), based on a PBE-relaxed structure.
Peak positions follow from Bragg's law for the DFT cell and can differ from measured ones.

Structural model:
```
Pm3Nd4Th2
1.0
7.301 0.000 0.000
-1.811 7.935 0.000
-0.005 -2.519 10.657
Pm Nd Th
6 8 4
Cartesian
0.003 2.423 0.572
0.041 0.838 7.716
0.050 6.664 5.363
5.436 -1.247 5.294
5.444 4.578 2.941
5.482 2.993 10.085
0.006 1.668 4.144
1.839 -0.398 1.768
1.821 2.982 10.045
1.881 4.570 3.008
3.605 0.846 7.648
3.664 2.435 0.612
3.647 5.815 8.889
5.480 3.748 6.513
0.034 5.808 8.833
1.829 3.744 6.511
3.656 1.672 4.146
5.451 -0.391 1.824
```

Main lines, in order of rising 2θ (10° ≤ 2θ ≤ 90°):
2θ (°), I/Imax
30.0, 100
34.8, 34
34.9, 17
50.0, 18
50.1, 18
59.4, 22
59.5, 14
62.3, 9
81.2, 9
83.8, 8